Theoretical PXRD pattern
Compound: MoNCl3
Radiation: Cu Kα X-rays
Structure: a DFT-relaxed cell (PBE, Alexandria)

The 6 most intense peaks (2θ = 10–80°), in order of rising 2θ:
| 2θ (°) | d [Å] | intensity |
| --- | --- | --- |
| 13.68 | 6.473 | 59 |
| 14.42 | 6.142 | 100 |
| 15.62 | 5.672 | 21 |
| 21.92 | 4.055 | 15 |
| 38.09 | 2.362 | 11 |
| 43.04 | 2.102 | 14 |

Structure:
abc: 7.3639 7.3639 11.8456
angles: 93.05 93.05 123.05
Fractional positions:
1 Mo 0.0211 0.1194 0.1527
2 Mo 0.1194 0.0211 0.6527
3 Mo 0.8806 0.9789 0.3473
4 Mo 0.9789 0.8806 0.8473
5 N 0.0846 0.7535 0.7179
6 N 0.2465 0.9154 0.7821
7 N 0.7535 0.0846 0.2179
8 N 0.9154 0.2465 0.2821
9 Cl 0.0486 0.2374 0.5184
10 Cl 0.1586 0.2774 0.7993
11 Cl 0.1889 0.4631 0.0987
12 Cl 0.2374 0.0486 0.0184
13 Cl 0.2774 0.1586 0.2993
14 Cl 0.4631 0.1889 0.5987
15 Cl 0.5369 0.8111 0.4013
16 Cl 0.7226 0.8414 0.7007
17 Cl 0.7626 0.9514 0.9816
18 Cl 0.8111 0.5369 0.9013
19 Cl 0.8414 0.7226 0.2007
20 Cl 0.9514 0.7626 0.4816